Computed powder diffraction line list of FeCo2AsO6 for Cu Kα, from a structure optimized by DFT (PBE+U).
No peak broadening, texture or thermal motion is included.

Largest 10 diffraction maxima, by angle, 15 to 90 degrees two-theta:
| index | two_theta | I_rel |
| --- | --- | --- |
| 0 1 -1 | 24.21 | 514 |
| 1 0 -2 | 32.87 | 1000 |
| 1 -2 0 | 36.06 | 930 |
| 1 1 0 | 41.02 | 138 |
| -2 2 2 | 49.58 | 368 |
| 1 1 1 | 53.65 | 266 |
| 1 -2 2 | 53.74 | 464 |
| 2 -3 1 | 62.87 | 213 |
| 0 3 -1 | 64.72 | 119 |
| 3 0 -2 | 64.88 | 237 |

Atomic structure:
Cell: 4.9745 4.9848 5.4952 Å, 90.04 116.91 119.90°
Space group P1 (No. 1)
Asymmetric unit:
Fe 0.0000 0.0000 0.0000 (multiplicity 1)
Co 0.5585 0.2770 0.8382 (multiplicity 1)
Co 0.6039 0.8004 0.4037 (multiplicity 1)
As 0.9651 0.4804 0.4459 (multiplicity 1)
O 0.0648 0.2085 0.6493 (multiplicity 1)
O 0.1117 0.4222 0.1998 (multiplicity 1)
O 0.4423 0.8510 0.6522 (multiplicity 1)
O 0.5146 0.0890 0.2000 (multiplicity 1)
O 0.7768 0.6845 0.1997 (multiplicity 1)
O 0.7979 0.5854 0.6515 (multiplicity 1)

Computed powder diffraction line list of Fe2CoAsO6 for Cu Kα, from a structure optimized by DFT (PBE+U).
No peak broadening, texture or thermal motion is included.

Largest 10 diffraction maxima, by angle, 15 to 90 degrees two-theta:
| index | two_theta | I_rel |
| --- | --- | --- |
| 0 1 0 | 23.94 | 468 |
| 1 -1 1 | 24.23 | 239 |
| -1 1 1 | 32.51 | 520 |
| 1 0 1 | 32.83 | 1000 |
| 1 1 -1 | 35.70 | 894 |
| 2 -1 0 | 35.80 | 454 |
| 0 2 0 | 49.02 | 382 |
| -1 2 1 | 53.09 | 317 |
| 1 1 -3 | 53.38 | 360 |
| 2 -1 2 | 53.82 | 312 |

Atomic structure:
Cell: 5.0172 5.0249 5.5012 Å, 116.54 90.67 119.81°
Space group P1 (No. 1)
Asymmetric unit:
Fe 0.0000 0.0000 0.0000 (multiplicity 1)
Fe 0.4815 0.9650 0.4455 (multiplicity 1)
Co 0.2014 0.4103 0.6150 (multiplicity 1)
As 0.6845 0.3693 0.0520 (multiplicity 1)
O 0.0492 0.4578 0.2528 (multiplicity 1)
O 0.2937 0.1881 0.8013 (multiplicity 1)
O 0.4164 0.2025 0.2527 (multiplicity 1)
O 0.6113 0.9103 0.7984 (multiplicity 1)
O 0.7899 0.8363 0.2516 (multiplicity 1)
O 0.8963 0.5102 0.8053 (multiplicity 1)

Computed powder diffraction line list of GaCoAs2O8 for Cu Kα, from a structure optimized by DFT (PBE+U).
No peak broadening, texture or thermal motion is included.

Largest 10 diffraction maxima, by angle, 15 to 90 degrees two-theta:
| index | two_theta | I_rel |
| --- | --- | --- |
| 2 0 0 | 27.21 | 1000 |
| 1 1 2 | 34.92 | 692 |
| 2 2 0 | 38.86 | 153 |
| 3 1 2 | 53.23 | 611 |
| 4 0 0 | 56.12 | 162 |
| 4 2 0 | 63.46 | 118 |
| 2 0 4 | 67.02 | 129 |
| 3 3 2 | 67.83 | 189 |
| 2 2 4 | 73.75 | 91 |
| 5 1 2 | 81.02 | 105 |

Atomic structure:
Cell: 6.5551 6.5551 6.1741 Å, 90.00 90.00 90.00°
Space group I-4m2 (No. 119)
Asymmetric unit:
Ga 0.0000 0.0000 0.0000 (multiplicity 2)
Co 0.0000 0.5000 0.2500 (multiplicity 2)
As 0.0000 0.0000 0.5000 (multiplicity 2)
As 0.0000 0.5000 0.7500 (multiplicity 2)
O 0.0000 0.1901 0.3081 (multiplicity 8)
O 0.0000 0.3097 0.9429 (multiplicity 8)